No. 1
CuIr2Rh4: theoretical PXRD pattern (Cu Kα (λ = 1.5418 Å)), based on a DFT-relaxed cell (GGA-PBE, Alexandria).
Intensities are scaled so that the largest is 100.

abc: 6.4460 6.4460 12.1053
angles: 90.00 90.00 155.81
Fractional positions:
Cu: 0.2012 0.7988 0.7500
Cu: 0.7988 0.2012 0.2500
Ir: 0.3687 0.6313 0.6368
Ir: 0.3687 0.6313 0.8632
Ir: 0.6313 0.3687 0.1368
Ir: 0.6313 0.3687 0.3632
Rh: 0.0000 0.0000 0.0000
Rh: 0.0000 0.0000 0.5000
Rh: 0.3139 0.6861 0.0710
Rh: 0.3139 0.6861 0.4290
Rh: 0.4649 0.5351 0.2500
Rh: 0.5351 0.4649 0.7500
Rh: 0.6861 0.3139 0.5710
Rh: 0.6861 0.3139 0.9290

Most intense lines, 10° ≤ 2θ ≤ 90°, sorted by position:
Position (°2θ)	Rel. int.
15.85	55
33.95	51
39.67	72
39.89	100
41.36	92
42.50	57
43.73	66
45.83	41
50.21	44
51.19	43



No. 2
PuNpGa4: theoretical PXRD pattern (Cu Kα (λ = 1.5418 Å)), based on a DFT-relaxed cell (GGA-PBE, Alexandria).
Intensities are scaled so that the largest is 100.

abc: 3.0393 4.7082 8.1952
angles: 90.00 90.00 90.00
Fractional positions:
Pu: 0.0000 0.0000 0.0000
Np: 0.0000 0.5000 0.5000
Ga: 0.5000 0.0000 0.3339
Ga: 0.5000 0.0000 0.6661
Ga: 0.5000 0.5000 0.1677
Ga: 0.5000 0.5000 0.8323

Most intense lines, 10° ≤ 2θ ≤ 90°, sorted by position:
Position (°2θ)	Rel. int.
21.74	50
36.85	100
38.09	47
38.23	23
53.97	11
54.12	22
68.01	23
68.22	11
69.01	8
74.23	20



No. 3
PuPt6: theoretical PXRD pattern (Cu Kα (λ = 1.5418 Å)), based on a DFT-relaxed cell (GGA-PBE, Alexandria).
Intensities are scaled so that the largest is 100.

abc: 5.4874 5.4874 5.4874
angles: 103.94 103.94 121.22
Fractional positions:
Pu: 0.0000 0.0000 0.0000
Pt: 0.2500 0.7500 0.5000
Pt: 0.2980 0.2980 0.5960
Pt: 0.2980 0.7020 0.0000
Pt: 0.7020 0.2980 0.0000
Pt: 0.7020 0.7020 0.4040
Pt: 0.7500 0.2500 0.5000

Most intense lines, 10° ≤ 2θ ≤ 90°, sorted by position:
Position (°2θ)	Rel. int.
34.00	72
37.63	100
38.36	69
42.94	65
43.53	72
54.27	22
68.40	33
78.17	29
80.79	25
82.16	22



No. 4
Ca2MgNi9: theoretical PXRD pattern (Cu Kα (λ = 1.5418 Å)), based on a DFT-relaxed cell (GGA-PBE, Alexandria).
Intensities are scaled so that the largest is 100.

abc: 8.5732 8.5732 8.5732
angles: 33.35 33.35 33.35
Fractional positions:
Ca: 0.1386 0.1386 0.1386
Ca: 0.8614 0.8614 0.8614
Mg: 0.0000 0.0000 0.0000
Ni: 0.0819 0.5791 0.5791
Ni: 0.3326 0.3326 0.3326
Ni: 0.4209 0.4209 0.9181
Ni: 0.4209 0.9181 0.4209
Ni: 0.5000 0.5000 0.5000
Ni: 0.5791 0.0819 0.5791
Ni: 0.5791 0.5791 0.0819
Ni: 0.6674 0.6674 0.6674
Ni: 0.9181 0.4209 0.4209

Most intense lines, 10° ≤ 2θ ≤ 90°, sorted by position:
Position (°2θ)	Rel. int.
21.17	51
36.52	14
42.59	25
43.04	100
44.82	26
46.35	19
46.55	45
50.25	30
70.23	18
77.61	21



No. 5
TbHgGe: theoretical PXRD pattern (Cu Kα (λ = 1.5418 Å)), based on a DFT-relaxed cell (GGA-PBE, Alexandria).
Intensities are scaled so that the largest is 100.

abc: 4.4513 4.4513 4.1278
angles: 90.00 90.00 120.00
Fractional positions:
Tb: 0.0000 0.0000 0.0000
Hg: 0.6667 0.3333 0.5818
Ge: 0.3333 0.6667 0.3806

Most intense lines, 10° ≤ 2θ ≤ 90°, sorted by position:
Position (°2θ)	Rel. int.
23.07	13
31.76	100
40.53	48
50.14	18
52.39	25
61.25	12
66.36	8
68.26	23
73.73	8
80.73	9



No. 6
Y4Er5Pu: theoretical PXRD pattern (Cu Kα (λ = 1.5418 Å)), based on a DFT-relaxed cell (GGA-PBE, Alexandria).
Intensities are scaled so that the largest is 100.

abc: 8.1091 8.1091 8.1091
angles: 96.36 96.36 141.12
Fractional positions:
Y: 0.0000 0.3229 0.3229
Y: 0.0000 0.6771 0.6771
Y: 0.3229 0.0000 0.3229
Y: 0.6771 0.0000 0.6771
Er: 0.3158 0.3158 0.6325
Er: 0.3158 0.6833 0.0000
Er: 0.6833 0.3158 0.0000
Er: 0.6833 0.6833 0.3675
Er: 0.9924 0.9924 0.0000
Pu: 0.4912 0.4912 0.0000

Most intense lines, 10° ≤ 2θ ≤ 90°, sorted by position:
Position (°2θ)	Rel. int.
11.57	60
23.26	24
29.80	100
33.19	55
34.20	29
35.22	78
49.17	54
50.65	27
59.90	25
61.90	27



No. 7
Ba7Ga4Sb9: theoretical PXRD pattern (Cu Kα (λ = 1.5418 Å)), based on a DFT-relaxed cell (GGA-PBE, Alexandria).
Intensities are scaled so that the largest is 100.

abc: 10.9826 18.4365 7.1950
angles: 90.00 90.00 90.00
Fractional positions:
Ba: 0.0212 0.1255 0.0425
Ba: 0.0212 0.3745 0.0425
Ba: 0.2500 0.0338 0.5411
Ba: 0.2500 0.4662 0.5411
Ba: 0.2500 0.7500 0.5747
Ba: 0.4788 0.1255 0.0425
Ba: 0.4788 0.3745 0.0425
Ba: 0.5212 0.6255 0.9575
Ba: 0.5212 0.8745 0.9575
Ba: 0.7500 0.2500 0.4253
Ba: 0.7500 0.5338 0.4589
Ba: 0.7500 0.9662 0.4589
Ba: 0.9788 0.6255 0.9575
Ba: 0.9788 0.8745 0.9575
Ga: 0.0690 0.2500 0.5583
Ga: 0.2500 0.6229 0.2406
Ga: 0.2500 0.8771 0.2406
Ga: 0.4310 0.2500 0.5583
Ga: 0.5690 0.7500 0.4417
Ga: 0.7500 0.1229 0.7594
Ga: 0.7500 0.3771 0.7594
Ga: 0.9310 0.7500 0.4417
Sb: 0.0390 0.6182 0.4541
Sb: 0.0390 0.8818 0.4541
Sb: 0.2500 0.2500 0.2874
Sb: 0.2500 0.2500 0.8322
Sb: 0.2500 0.5072 0.0214
Sb: 0.2500 0.7500 0.0429
Sb: 0.2500 0.9928 0.0214
Sb: 0.4610 0.6182 0.4541
Sb: 0.4610 0.8818 0.4541
Sb: 0.5390 0.1182 0.5459
Sb: 0.5390 0.3818 0.5459
Sb: 0.7500 0.0072 0.9786
Sb: 0.7500 0.2500 0.9571
Sb: 0.7500 0.4928 0.9786
Sb: 0.7500 0.7500 0.1678
Sb: 0.7500 0.7500 0.7126
Sb: 0.9610 0.1182 0.5459
Sb: 0.9610 0.3818 0.5459

Most intense lines, 10° ≤ 2θ ≤ 90°, sorted by position:
Position (°2θ)	Rel. int.
24.75	35
25.23	100
28.76	13
30.09	26
31.03	25
32.61	36
35.63	50
38.00	16
39.09	24
51.79	13



No. 8
LiPm2PrAu4: theoretical PXRD pattern (Cu Kα (λ = 1.5418 Å)), based on a DFT-relaxed cell (GGA-PBE, Alexandria).
Intensities are scaled so that the largest is 100.

abc: 8.9209 8.9209 8.9209
angles: 33.39 33.39 33.39
Fractional positions:
Li: 0.0000 0.0000 0.0000
Pm: 0.2592 0.2592 0.2592
Pm: 0.7408 0.7408 0.7408
Pr: 0.5000 0.5000 0.5000
Au: 0.1189 0.1189 0.1189
Au: 0.3790 0.3790 0.3790
Au: 0.6210 0.6210 0.6210
Au: 0.8811 0.8811 0.8811

Most intense lines, 10° ≤ 2θ ≤ 90°, sorted by position:
Position (°2θ)	Rel. int.
24.52	19
34.88	92
35.01	100
50.25	33
62.46	13
62.74	53
73.66	8
73.97	12
84.24	11
84.46	15